Record 1
The following is a simulated powder X-ray diffraction pattern of Sm3Fe3B8. It was derived from a GGA-PBE-relaxed structure, using Cu Kα, 1.54184 Å.
Kinematic intensities with the Lorentz-polarization factor, no thermal factor.

Atomic structure:
```
data_Sm3Fe3B8
_symmetry_space_group_name_H-M 'I m m m'
_symmetry_Int_Tables_number 71
_symmetry_space_group_name_Hall '-I 2 2'
_cell_length_a 3.1693
_cell_length_b 8.3001
_cell_length_c 12.9651
_cell_angle_alpha 90.00
_cell_angle_beta 90.00
_cell_angle_gamma 90.00
loop_
_atom_site_label
_atom_site_fract_x
_atom_site_fract_y
_atom_site_fract_z
Sm1 0.0000 0.0000 0.0000
Sm2 0.0000 0.0000 0.2736
Fe1 0.0000 0.1993 0.5000
Fe2 0.0000 0.5000 0.0000
B1 0.0000 0.2695 0.1165
B2 0.0000 0.3057 0.3662
```

Peak list (6 most intense, 2θ = 10–90°, by angle)
(0 2 0), d = 4.150 Å, 2θ 21.41, I = 82
(0 0 4), d = 3.241 Å, 2θ 27.52, I = 97
(1 1 0), d = 2.961 Å, 2θ 30.18, I = 100
(0 2 4), d = 2.555 Å, 2θ 35.13, I = 89
(1 1 4), d = 2.186 Å, 2θ 41.30, I = 77
(1 2 3), d = 2.176 Å, 2θ 41.50, I = 92

=====

Record 2
The following is a simulated powder X-ray diffraction pattern of SmFe9B4. It was derived from a GGA-PBE-relaxed structure, using Cu Kα, 1.54184 Å.
Kinematic intensities with the Lorentz-polarization factor, no thermal factor.

Atomic structure:
```
data_SmFe9B4
_symmetry_space_group_name_H-M 'C 1 2/m 1'
_symmetry_Int_Tables_number 12
_cell_length_a 10.3980
_cell_length_b 11.0690
_cell_length_c 7.3538
_cell_angle_alpha 90.00
_cell_angle_beta 134.96
_cell_angle_gamma 90.00
loop_
_symmetry_equiv_pos_as_xyz
'x,y,z'
'-x,-y,-z'
'-x,y,-z'
'x,-y,z'
'x+1/2,y+1/2,z'
'-x+1/2,-y+1/2,-z'
'-x+1/2,y+1/2,-z'
'x+1/2,-y+1/2,z'
loop_
_atom_site_label
_atom_site_fract_x
_atom_site_fract_y
_atom_site_fract_z
Sm1 0.0000 0.2483 0.0000
Fe1 0.0000 0.0000 0.5000
Fe2 0.0000 0.5000 0.5000
Fe3 0.0849 0.5000 0.8853
Fe4 0.1081 0.0000 0.9161
Fe5 0.1227 0.1776 0.4754
Fe6 0.1473 0.3224 0.7698
Fe7 0.1923 0.0000 0.3004
Fe8 0.1997 0.5000 0.2845
B1 0.1300 0.3643 0.4449
B2 0.1850 0.1357 0.8150
```

Peak list (6 most intense, 2θ = 10–90°, by angle)
(0 4 0), d = 2.767 Å, 2θ 32.35, I = 19
(3 3 -2), d = 2.455 Å, 2θ 36.60, I = 20
(0 4 1), d = 2.443 Å, 2θ 36.79, I = 15
(4 2 -1), d = 2.144 Å, 2θ 42.14, I = 100
(2 0 2), d = 1.645 Å, 2θ 55.90, I = 19
(2 4 2), d = 1.414 Å, 2θ 66.08, I = 12

=====

Record 3
The following is a simulated powder X-ray diffraction pattern of SmFeB14. It was derived from a GGA-PBE-relaxed structure, using Cu Kα, 1.54184 Å.
Kinematic intensities with the Lorentz-polarization factor, no thermal factor.

Atomic structure:
```
data_SmFeB14
_symmetry_space_group_name_H-M 'I m m a'
_symmetry_Int_Tables_number 74
_symmetry_space_group_name_Hall '-I 2b 2'
_cell_length_a 5.8392
_cell_length_b 10.6647
_cell_length_c 8.3135
_cell_angle_alpha 90.00
_cell_angle_beta 90.00
_cell_angle_gamma 90.00
loop_
_atom_site_label
_atom_site_fract_x
_atom_site_fract_y
_atom_site_fract_z
Sm1 0.0000 0.2500 0.1309
Fe1 0.2500 0.2500 0.7500
B1 0.0000 0.0875 0.6674
B2 0.0000 0.1335 0.8670
B3 0.0000 0.1663 0.4658
B4 0.1611 0.0591 0.3393
B5 0.2485 0.0791 0.5476
```

Peak list (6 most intense, 2θ = 10–90°, by angle)
(0 2 0), d = 5.332 Å, 2θ 16.63, I = 100
(1 2 1), d = 3.559 Å, 2θ 25.02, I = 68
(1 1 2), d = 3.228 Å, 2θ 27.64, I = 80
(0 4 0), d = 2.667 Å, 2θ 33.60, I = 87
(1 3 2), d = 2.452 Å, 2θ 36.65, I = 55
(2 3 1), d = 2.178 Å, 2θ 41.46, I = 63

=====

Record 4
The following is a simulated powder X-ray diffraction pattern of SmFe12B4. It was derived from a GGA-PBE-relaxed structure, using Cu Kα, 1.54184 Å.
Kinematic intensities with the Lorentz-polarization factor, no thermal factor.

Atomic structure:
```
data_SmFe12B4
_symmetry_space_group_name_H-M 'I m -3'
_symmetry_Int_Tables_number 204
_symmetry_space_group_name_Hall '-I 2 2 3'
_cell_length_a 7.3321
_cell_length_b 7.3321
_cell_length_c 7.3321
_cell_angle_alpha 90.00
_cell_angle_beta 90.00
_cell_angle_gamma 90.00
loop_
_atom_site_label
_atom_site_fract_x
_atom_site_fract_y
_atom_site_fract_z
Sm1 0.0000 0.0000 0.0000
Fe1 0.0000 0.3406 0.1771
B1 0.2500 0.2500 0.2500
```

Peak list (6 most intense, 2θ = 10–90°, by angle)
(2 1 1), d = 2.993 Å, 2θ 29.85, I = 17
(3 0 1), d = 2.319 Å, 2θ 38.84, I = 100
(3 1 2), d = 1.960 Å, 2θ 46.33, I = 58
(4 2 2), d = 1.497 Å, 2θ 62.01, I = 16
(4 3 1), d = 1.438 Å, 2θ 64.84, I = 25
(6 0 0), d = 1.222 Å, 2θ 78.23, I = 14

=====

Record 5
The following is a simulated powder X-ray diffraction pattern of TbFe7B3. It was derived from a GGA-PBE-relaxed structure, using Cu Kα, 1.54184 Å.
Kinematic intensities with the Lorentz-polarization factor, no thermal factor.

Atomic structure:
```
data_TbFe7B3
_symmetry_space_group_name_H-M 'R -3 c'
_symmetry_Int_Tables_number 167
_symmetry_space_group_name_Hall '-R 3 2"c'
_cell_length_a 6.6879
_cell_length_b 6.6879
_cell_length_c 18.5546
_cell_angle_alpha 90.00
_cell_angle_beta 90.00
_cell_angle_gamma 120.00
loop_
_atom_site_label
_atom_site_fract_x
_atom_site_fract_y
_atom_site_fract_z
Tb1 0.0000 0.0000 0.0000
Fe1 0.0000 0.0000 0.2500
Fe2 0.0097 0.2196 0.1386
B1 0.0000 0.3258 0.2500
```

Peak list (6 most intense, 2θ = 10–90°, by angle)
(1 1 0), d = 3.344 Å, 2θ 26.66, I = 36
(0 2 4), d = 2.457 Å, 2θ 36.58, I = 63
(2 1 1), d = 2.174 Å, 2θ 41.54, I = 41
(0 1 8), d = 2.153 Å, 2θ 41.96, I = 60
(2 1 4), d = 1.980 Å, 2θ 45.83, I = 100
(1 2 5), d = 1.886 Å, 2θ 48.27, I = 35

=====

Record 6
The following is a simulated powder X-ray diffraction pattern of Tb2FeB10. It was derived from a GGA-PBE-relaxed structure, using Cu Kα, 1.54184 Å.
Kinematic intensities with the Lorentz-polarization factor, no thermal factor.

Atomic structure:
```
data_Tb2FeB10
_symmetry_space_group_name_H-M 'P b a m'
_symmetry_Int_Tables_number 55
_cell_length_a 5.5806
_cell_length_b 11.1143
_cell_length_c 4.1514
_cell_angle_alpha 90.00
_cell_angle_beta 90.00
_cell_angle_gamma 90.00
loop_
_symmetry_equiv_pos_as_xyz
'x,y,z'
'-x,-y,-z'
'-x,-y,z'
'x,y,-z'
'x+1/2,-y+1/2,-z'
'-x+1/2,y+1/2,z'
'-x+1/2,y+1/2,-z'
'x+1/2,-y+1/2,z'
loop_
_atom_site_label
_atom_site_fract_x
_atom_site_fract_y
_atom_site_fract_z
Tb1 0.2139 0.1298 0.0000
Fe1 0.0000 0.5000 0.5000
B1 0.0328 0.3141 0.5000
B2 0.1283 0.9607 0.5000
B3 0.1549 0.8019 0.5000
B4 0.2041 0.3866 0.2010
```

Peak list (6 most intense, 2θ = 10–90°, by angle)
(0 0 1), d = 4.151 Å, 2θ 21.40, I = 28
(1 2 0), d = 3.938 Å, 2θ 22.58, I = 72
(1 2 1), d = 2.857 Å, 2θ 31.31, I = 100
(2 0 1), d = 2.316 Å, 2θ 38.89, I = 36
(0 4 1), d = 2.309 Å, 2θ 39.01, I = 43
(1 2 2), d = 1.836 Å, 2θ 49.66, I = 33

=====

Record 7
The following is a simulated powder X-ray diffraction pattern of TbFeB4. It was derived from a GGA-PBE-relaxed structure, using Cu Kα, 1.54184 Å.
Kinematic intensities with the Lorentz-polarization factor, no thermal factor.

Atomic structure:
```
data_TbFeB4
_symmetry_space_group_name_H-M 'P b a m'
_symmetry_Int_Tables_number 55
_cell_length_a 5.9049
_cell_length_b 11.4225
_cell_length_c 3.3900
_cell_angle_alpha 90.00
_cell_angle_beta 90.00
_cell_angle_gamma 90.00
loop_
_symmetry_equiv_pos_as_xyz
'x,y,z'
'-x,-y,-z'
'-x,-y,z'
'x,y,-z'
'x+1/2,-y+1/2,-z'
'-x+1/2,y+1/2,z'
'-x+1/2,y+1/2,-z'
'x+1/2,-y+1/2,z'
loop_
_atom_site_label
_atom_site_fract_x
_atom_site_fract_y
_atom_site_fract_z
Tb1 0.1263 0.1503 0.0000
Fe1 0.1325 0.4118 0.0000
B1 0.0246 0.6899 0.5000
B2 0.1111 0.5457 0.5000
B3 0.1397 0.9681 0.5000
B4 0.2189 0.8166 0.5000
```

Peak list (6 most intense, 2θ = 10–90°, by angle)
(1 2 0), d = 4.105 Å, 2θ 21.65, I = 23
(0 0 1), d = 3.390 Å, 2θ 26.29, I = 64
(1 3 0), d = 3.200 Å, 2θ 27.88, I = 31
(0 4 0), d = 2.857 Å, 2θ 31.30, I = 86
(1 3 1), d = 2.327 Å, 2θ 38.69, I = 33
(0 4 1), d = 2.185 Å, 2θ 41.32, I = 100

=====

Record 8
The following is a simulated powder X-ray diffraction pattern of TbFe22B6. It was derived from a GGA-PBE-relaxed structure, using Cu Kα, 1.54184 Å.
Kinematic intensities with the Lorentz-polarization factor, no thermal factor.

Atomic structure:
```
data_TbFe22B6
_symmetry_space_group_name_H-M 'F m -3 m'
_symmetry_Int_Tables_number 225
_symmetry_space_group_name_Hall '-F 4 2 3'
_cell_length_a 10.7027
_cell_length_b 10.7027
_cell_length_c 10.7027
_cell_angle_alpha 90.00
_cell_angle_beta 90.00
_cell_angle_gamma 90.00
loop_
_atom_site_label
_atom_site_fract_x
_atom_site_fract_y
_atom_site_fract_z
Tb1 0.0000 0.0000 0.0000
Fe1 0.0000 0.1757 0.1757
Fe2 0.1181 0.1181 0.3819
Fe3 0.2500 0.2500 0.2500
B1 0.0000 0.0000 0.2732
```

Peak list (6 most intense, 2θ = 10–90°, by angle)
(4 2 2), d = 2.185 Å, 2θ 41.33, I = 34
(3 3 3), d = 2.060 Å, 2θ 43.96, I = 100
(4 4 0), d = 1.892 Å, 2θ 48.09, I = 26
(6 6 0), d = 1.261 Å, 2θ 75.35, I = 23
(5 5 5), d = 1.236 Å, 2θ 77.19, I = 15
(8 4 4), d = 1.092 Å, 2θ 89.78, I = 14

=====

Which formula does entry 1 have?
Sm3Fe3B8